NiBi3Rh: computed XRD peak list (CuKα), based on a crystal structure in Alexandria, relaxed with GGA-PBE.
Peak positions follow from Bragg's law for the DFT cell and can differ from measured ones.

Structural model:
```
data_NiBi3Rh
_cell_length_a 3.474
_cell_length_b 8.445
_cell_length_c 9.170
_cell_angle_alpha 67.48
_cell_angle_beta 79.74
_cell_angle_gamma 78.56
_symmetry_space_group_name_H-M 'P -1'
_symmetry_Int_Tables_number 2
loop_
_symmetry_equiv_pos_as_xyz
'x,y,z'
'-x,-y,-z'
loop_
_atom_site_label
_atom_site_type_symbol
_atom_site_fract_x
_atom_site_fract_y
_atom_site_fract_z
Ni1 Ni 0.005 0.373 0.130
Bi1 Bi 0.091 0.026 0.294
Bi2 Bi 0.152 0.623 0.580
Bi3 Bi 0.370 0.673 0.084
Rh1 Rh 0.290 0.248 0.677
```

Top 12 peaks for 10° ≤ 2θ ≤ 80°, sorted by position:
d_spacing	two_theta	I/Imax
3.554	25.06	83
3.273	27.25	51
3.237	27.56	100
2.814	31.80	62
2.796	32.01	61
2.573	34.86	84
2.460	36.52	91
2.431	36.98	86
2.381	37.79	93
2.368	38.00	75
2.246	40.15	86
1.737	52.69	50


NiBiS: computed XRD peak list (CuKα), based on a crystal structure in Alexandria, relaxed with GGA-PBE.
Peak positions follow from Bragg's law for the DFT cell and can differ from measured ones.

Structural model:
```
data_NiBiS
_cell_length_a 6.113
_cell_length_b 5.536
_cell_length_c 7.280
_cell_angle_alpha 90.00
_cell_angle_beta 90.74
_cell_angle_gamma 90.00
_symmetry_space_group_name_H-M 'P 1 21/c 1'
_symmetry_Int_Tables_number 14
loop_
_symmetry_equiv_pos_as_xyz
'x,y,z'
'-x,-y,-z'
'-x,y+1/2,-z+1/2'
'x,-y+1/2,z+1/2'
loop_
_atom_site_label
_atom_site_type_symbol
_atom_site_fract_x
_atom_site_fract_y
_atom_site_fract_z
Ni1 Ni 0.201 0.056 0.346
Bi1 Bi 0.395 0.749 0.617
S1 S 0.120 0.144 0.650
```

Top 12 peaks for 10° ≤ 2θ ≤ 80°, sorted by position:
d_spacing	two_theta	I/Imax
6.112	14.49	84
4.103	21.66	36
3.041	29.37	99
2.768	32.34	26
2.735	32.75	74
2.711	33.04	40
2.676	33.49	100
2.522	35.60	47
2.326	38.72	31
2.068	43.78	29
1.912	47.56	23
1.767	51.73	31


Sc5Ni2Bi: computed XRD peak list (CuKα), based on a crystal structure in Alexandria, relaxed with GGA-PBE.
Peak positions follow from Bragg's law for the DFT cell and can differ from measured ones.

Structural model:
```
data_Sc5Ni2Bi
_cell_length_a 7.019
_cell_length_b 7.019
_cell_length_c 13.526
_cell_angle_alpha 90.00
_cell_angle_beta 90.00
_cell_angle_gamma 90.00
_symmetry_space_group_name_H-M 'I 4/m c m'
_symmetry_Int_Tables_number 140
_symmetry_space_group_name_Hall '-I 4 2c'
loop_
_atom_site_label
_atom_site_type_symbol
_atom_site_fract_x
_atom_site_fract_y
_atom_site_fract_z
Sc1 Sc 0.000 0.000 0.000
Sc2 Sc 0.158 0.342 0.132
Ni1 Ni 0.134 0.366 0.500
Bi1 Bi 0.000 0.000 0.250
```

Top 12 peaks for 10° ≤ 2θ ≤ 80°, sorted by position:
d_spacing	two_theta	I/Imax
4.963	17.87	33
4.001	22.22	100
3.510	25.38	21
3.115	28.66	33
2.795	32.03	54
2.576	34.83	61
2.482	36.20	26
2.435	36.91	58
2.220	40.65	81
2.051	44.16	41
1.856	49.10	29
1.345	69.95	30


Ni4Sn2Bi: computed XRD peak list (CuKα), based on a crystal structure in Alexandria, relaxed with GGA-PBE.
Peak positions follow from Bragg's law for the DFT cell and can differ from measured ones.

Structural model:
```
data_Ni4Sn2Bi
_cell_length_a 4.770
_cell_length_b 4.770
_cell_length_c 13.102
_cell_angle_alpha 90.00
_cell_angle_beta 90.00
_cell_angle_gamma 90.00
_symmetry_space_group_name_H-M 'I 4/m m m'
_symmetry_Int_Tables_number 139
_symmetry_space_group_name_Hall '-I 4 2'
loop_
_atom_site_label
_atom_site_type_symbol
_atom_site_fract_x
_atom_site_fract_y
_atom_site_fract_z
Ni1 Ni 0.000 0.000 0.190
Ni2 Ni 0.000 0.500 0.000
Sn1 Sn 0.000 0.000 0.377
Bi1 Bi 0.000 0.000 0.000
```

Top 12 peaks for 10° ≤ 2θ ≤ 80°, sorted by position:
d_spacing	two_theta	I/Imax
6.551	13.52	72
3.373	26.42	100
3.221	27.69	55
2.385	37.72	100
2.297	39.23	94
2.241	40.24	21
1.917	47.43	28
1.686	54.40	34
1.654	55.55	69
1.611	57.19	18
1.508	61.47	20
1.359	69.10	18


SrNiBi3: computed XRD peak list (CuKα), based on a crystal structure in Alexandria, relaxed with GGA-PBE.
Peak positions follow from Bragg's law for the DFT cell and can differ from measured ones.

Structural model:
```
data_SrNiBi3
_cell_length_a 7.001
_cell_length_b 6.468
_cell_length_c 6.386
_cell_angle_alpha 90.00
_cell_angle_beta 90.00
_cell_angle_gamma 90.00
_symmetry_space_group_name_H-M 'P m n 21'
_symmetry_Int_Tables_number 31
loop_
_symmetry_equiv_pos_as_xyz
'x,y,z'
'-x+1/2,-y,z+1/2'
'-x,y,z'
'x+1/2,-y,z+1/2'
loop_
_atom_site_label
_atom_site_type_symbol
_atom_site_fract_x
_atom_site_fract_y
_atom_site_fract_z
Sr1 Sr 0.000 0.147 0.000
Ni1 Ni 0.000 0.599 0.744
Bi1 Bi 0.000 0.884 0.457
Bi2 Bi 0.244 0.343 0.545
```

Top 12 peaks for 10° ≤ 2θ ≤ 80°, sorted by position:
d_spacing	two_theta	I/Imax
4.544	19.53	14
3.193	27.94	39
3.079	29.00	32
2.885	31.00	78
2.773	32.28	100
2.359	38.15	14
2.216	40.71	34
1.836	49.66	18
1.778	51.39	13
1.751	52.25	28
1.591	57.95	21
1.496	62.02	22


Ni2BiTe: computed XRD peak list (CuKα), based on a crystal structure in Alexandria, relaxed with GGA-PBE.
Peak positions follow from Bragg's law for the DFT cell and can differ from measured ones.

Structural model:
```
data_Ni2BiTe
_cell_length_a 8.199
_cell_length_b 7.094
_cell_length_c 5.271
_cell_angle_alpha 90.00
_cell_angle_beta 90.00
_cell_angle_gamma 90.00
_symmetry_space_group_name_H-M 'P b c m'
_symmetry_Int_Tables_number 57
loop_
_symmetry_equiv_pos_as_xyz
'x,y,z'
'-x,-y,-z'
'-x,-y,z+1/2'
'x,y,-z+1/2'
'x,-y+1/2,-z'
'-x,y+1/2,z'
'-x,y+1/2,-z+1/2'
'x,-y+1/2,z+1/2'
loop_
_atom_site_label
_atom_site_type_symbol
_atom_site_fract_x
_atom_site_fract_y
_atom_site_fract_z
Ni1 Ni 0.108 0.250 0.000
Ni2 Ni 0.355 0.750 0.000
Bi1 Bi 0.378 0.090 0.250
Te1 Te 0.127 0.575 0.250
```

Top 12 peaks for 10° ≤ 2θ ≤ 80°, sorted by position:
d_spacing	two_theta	I/Imax
8.199	10.79	5
2.944	30.36	100
2.635	34.02	6
2.116	42.74	42
2.049	44.21	45
1.682	54.57	19
1.618	56.93	9
1.575	58.63	16
1.472	63.17	12
1.300	72.74	11
1.299	72.78	6
1.248	76.27	7


Ni2BiTe3: computed XRD peak list (CuKα), based on a crystal structure in Alexandria, relaxed with GGA-PBE.
Peak positions follow from Bragg's law for the DFT cell and can differ from measured ones.

Structural model:
```
data_Ni2BiTe3
_cell_length_a 7.5879
_cell_length_b 7.5879
_cell_length_c 17.9583
_cell_angle_alpha 90.00
_cell_angle_beta 90.00
_cell_angle_gamma 120.00
_symmetry_space_group_name_H-M 'R -3 m'
_symmetry_Int_Tables_number 166
_symmetry_space_group_name_Hall '-R 3 2"'
loop_
_atom_site_label
_atom_site_type_symbol
_atom_site_fract_x
_atom_site_fract_y
_atom_site_fract_z
Ni1 Ni 0.0000 0.0000 0.0000
Ni2 Ni 0.0000 0.5000 0.0000
Bi1 Bi 0.0000 0.0000 0.2440
Te1 Te 0.0027 0.5013 0.2596
```

Top 12 peaks for 10° ≤ 2θ ≤ 80°, sorted by position:
d_spacing	two_theta	I/Imax
5.986	14.80	16
5.303	16.72	7
3.086	28.94	61
2.993	29.85	17
2.651	33.81	100
1.897	47.96	39
1.854	49.16	31
1.616	56.99	9
1.602	57.52	16
1.543	59.96	19
1.326	71.11	10
1.230	77.61	8